(1)
Calculated powder diffraction line list
Compound: ZrNi2Pt
Radiation: Cu Ka
Structure: a PBE-relaxed structure
Kinematic intensities with the Lorentz-polarization factor, no thermal factor.

Structure:
abc: 4.6846 4.6846 4.6846
angles: 130.48 130.48 72.65
Positions (direct):
Zr (0.0000, 0.0000, 0.0000)
Ni (0.2500, 0.7500, 0.5000)
Ni (0.7500, 0.2500, 0.5000)
Pt (0.5000, 0.5000, 0.0000)

Peak list (10 most intense, 10 to 80 degrees two-theta, by intensity)
2θ (°), intensity
40.34, 100
46.27, 34
69.05, 20
25.58, 18
48.22, 15
23.57, 14
32.26, 13
67.51, 11
52.57, 7
53.61, 5

(2)
Calculated powder diffraction line list
Compound: ZrNi4Pt7
Radiation: Cu Ka
Structure: a PBE-relaxed structure
Kinematic intensities with the Lorentz-polarization factor, no thermal factor.

Structure:
abc: 4.8457 5.4830 7.1840
angles: 78.48 71.26 89.49
Positions (direct):
Zr (0.0000, 0.0000, 0.0000)
Ni (0.1651, 0.4163, 0.3332)
Ni (0.3536, 0.8288, 0.6629)
Ni (0.6464, 0.1712, 0.3371)
Ni (0.8349, 0.5837, 0.6668)
Pt (0.0000, 0.5000, 0.0000)
Pt (0.1722, 0.9132, 0.3452)
Pt (0.3194, 0.3359, 0.6597)
Pt (0.4978, 0.7456, 0.9984)
Pt (0.5022, 0.2544, 0.0016)
Pt (0.6806, 0.6641, 0.3403)
Pt (0.8278, 0.0868, 0.6548)

Peak list (10 most intense, 10 to 80 degrees two-theta, by intensity)
2θ (°), intensity
40.67, 100
39.96, 99
40.09, 96
39.85, 95
45.92, 65
46.82, 61
47.34, 58
26.80, 27
23.37, 26
66.99, 21

(3)
Calculated powder diffraction line list
Compound: Zr2Ni2Pt7
Radiation: Cu Ka
Structure: a PBE-relaxed structure
Kinematic intensities with the Lorentz-polarization factor, no thermal factor.

Structure:
abc: 7.3755 7.3755 7.3755
angles: 150.73 109.94 77.68
Positions (direct):
Zr (0.1879, 0.1879, 0.0000)
Zr (0.8121, 0.8121, 0.0000)
Ni (0.2357, 0.0000, 0.2357)
Ni (0.7643, 0.0000, 0.7643)
Pt (0.0000, 0.5000, 0.5000)
Pt (0.0951, 0.3441, 0.7510)
Pt (0.3745, 0.8745, 0.5000)
Pt (0.4069, 0.6559, 0.7510)
Pt (0.5931, 0.3441, 0.2490)
Pt (0.6255, 0.1255, 0.5000)
Pt (0.9049, 0.6559, 0.2490)

Peak list (10 most intense, 10 to 80 degrees two-theta, by intensity)
2θ (°), intensity
39.91, 100
42.71, 24
48.88, 17
76.32, 15
32.96, 15
66.90, 13
26.13, 12
47.48, 9
30.48, 9
40.68, 8

(4)
Calculated powder diffraction line list
Compound: Pu2NiRh
Radiation: Cu Ka
Structure: a PBE-relaxed structure
Kinematic intensities with the Lorentz-polarization factor, no thermal factor.

Structure:
abc: 4.7976 4.7976 3.4061
angles: 90.00 90.00 90.00
Positions (direct):
Pu (0.0000, 0.5000, 0.0000)
Pu (0.5000, 0.0000, 0.0000)
Ni (0.0000, 0.0000, 0.5000)
Rh (0.5000, 0.5000, 0.5000)

Peak list (10 most intense, 10 to 80 degrees two-theta, by intensity)
2θ (°), intensity
37.44, 100
67.60, 24
26.27, 17
67.44, 12
54.06, 12
26.16, 9
46.29, 8
79.80, 8
61.05, 8
53.83, 6

(5)
Calculated powder diffraction line list
Compound: PuNiRh
Radiation: Cu Ka
Structure: a PBE-relaxed structure
Kinematic intensities with the Lorentz-polarization factor, no thermal factor.

Structure:
abc: 5.1372 5.1372 5.1372
angles: 142.06 142.06 54.73
Positions (direct):
Pu (0.0000, 0.0000, 0.0000)
Ni (0.6797, 0.6797, 0.0000)
Rh (0.3143, 0.3143, 0.0000)

Peak list (10 most intense, 10 to 80 degrees two-theta, by intensity)
2θ (°), intensity
40.10, 100
38.11, 60
28.46, 44
70.21, 38
54.99, 21
74.16, 15
19.46, 14
56.05, 12
63.08, 10
39.50, 8

(6)
Calculated powder diffraction line list
Compound: Pu2NiRu4
Radiation: Cu Ka
Structure: a PBE-relaxed structure
Kinematic intensities with the Lorentz-polarization factor, no thermal factor.

Structure:
abc: 5.3603 5.3603 9.4175
angles: 90.00 90.00 120.43
Positions (direct):
Pu (0.1566, 0.8434, 0.9721)
Pu (0.3434, 0.6566, 0.4721)
Pu (0.6566, 0.3434, 0.5279)
Pu (0.8434, 0.1566, 0.0279)
Ni (0.0000, 0.0000, 0.5000)
Ni (0.5000, 0.5000, 0.0000)
Ru (0.1840, 0.3160, 0.7500)
Ru (0.1852, 0.8148, 0.7034)
Ru (0.3148, 0.6852, 0.2034)
Ru (0.3160, 0.1840, 0.2500)
Ru (0.6840, 0.8160, 0.7500)
Ru (0.6852, 0.3148, 0.7966)
Ru (0.8148, 0.1852, 0.2966)
Ru (0.8160, 0.6840, 0.2500)

Peak list (10 most intense, 10 to 80 degrees two-theta, by intensity)
2θ (°), intensity
34.80, 100
44.45, 89
38.86, 51
43.12, 47
38.23, 46
40.18, 43
21.42, 42
34.51, 41
33.66, 36
39.92, 34